Diffraction record for Li9Mn7O16. The powder diffractogram is calculated, not measured: it uses a DFT-relaxed cell (GGA+U, the Materials Project) and Cu Kα.

Structural model:
```
data_Li9Mn7O16
_cell_length_a 5.095
_cell_length_b 7.693
_cell_length_c 8.133
_cell_angle_alpha 79.98
_cell_angle_beta 86.06
_cell_angle_gamma 72.64
_space_group_name_H-M_alt 'P 1'
_space_group_IT_number 1
loop_
_space_group_symop_operation_xyz
'x,y,z'
loop_
_atom_site_label
_atom_site_fract_x
_atom_site_fract_y
_atom_site_fract_z
Li1 0.000 0.000 0.000
Li2 0.485 0.939 0.182
Li3 0.490 0.693 0.939
Li4 0.493 0.438 0.700
Li5 0.499 0.813 0.567
Li6 0.501 0.187 0.433
Li7 0.507 0.562 0.300
Li8 0.510 0.307 0.061
Li9 0.515 0.061 0.818
Mn1 0.000 0.500 0.500
Mn2 0.001 0.877 0.368
Mn3 0.004 0.248 0.245
Mn4 0.006 0.628 0.123
Mn5 0.994 0.372 0.877
Mn6 0.996 0.752 0.755
Mn7 0.999 0.123 0.632
O1 0.208 0.668 0.545
O2 0.216 0.176 0.046
O3 0.230 0.406 0.273
O4 0.230 0.536 0.890
O5 0.231 0.034 0.390
O6 0.231 0.906 0.769
O7 0.234 0.283 0.642
O8 0.241 0.770 0.158
O9 0.759 0.230 0.842
O10 0.766 0.717 0.358
O11 0.769 0.094 0.231
O12 0.769 0.966 0.610
O13 0.770 0.464 0.110
O14 0.770 0.594 0.727
O15 0.784 0.824 0.954
O16 0.792 0.332 0.455
```

Main lines, in order of falling intensity (2θ = 15–90°):
(hkl), d (Å), Rel. int.
1 0 0, 4.862, 100
-1 1 3, 2.212, 35
1 -2 2, 2.066, 28
2 3 1, 2.048, 27
0 1 3, 2.647, 18
1 3 1, 2.484, 12

---

Diffraction record for AlWO3. The powder diffractogram is calculated, not measured: it uses a DFT-relaxed cell (GGA+U, the Materials Project) and Cu Kα.

Structural model:
```
data_AlWO3
_cell_length_a 5.604
_cell_length_b 5.604
_cell_length_c 11.994
_cell_angle_alpha 90.00
_cell_angle_beta 90.00
_cell_angle_gamma 120.00
_space_group_name_H-M_alt 'P 1'
_space_group_IT_number 1
loop_
_space_group_symop_operation_xyz
'x,y,z'
loop_
_atom_site_label
_atom_site_fract_x
_atom_site_fract_y
_atom_site_fract_z
Al1 0.000 0.000 0.000
Al2 0.000 0.000 0.500
Al3 0.333 0.667 0.030
Al4 0.333 0.667 0.530
Al5 0.667 0.333 0.030
Al6 0.667 0.333 0.530
W1 0.000 0.294 0.267
W2 0.000 0.706 0.767
W3 0.294 0.000 0.267
W4 0.294 0.294 0.767
W5 0.706 0.000 0.767
W6 0.706 0.706 0.267
O1 0.000 0.000 0.157
O2 0.000 0.000 0.657
O3 0.000 0.306 0.448
O4 0.000 0.433 0.106
O5 0.000 0.567 0.606
O6 0.000 0.694 0.948
O7 0.306 0.000 0.448
O8 0.306 0.306 0.948
O9 0.333 0.667 0.301
O10 0.333 0.667 0.801
O11 0.433 0.000 0.106
O12 0.433 0.433 0.606
O13 0.567 0.000 0.606
O14 0.567 0.567 0.106
O15 0.667 0.333 0.301
O16 0.667 0.333 0.801
O17 0.694 0.000 0.948
O18 0.694 0.694 0.448
```

Main lines, in order of falling intensity (2θ = 15–90°):
(hkl), d (Å), Rel. int.
1 1 1, 2.728, 100
1 1 3, 2.295, 39
0 0 4, 2.998, 33
1 1 5, 1.822, 32
1 1 2, 2.539, 27
3 0 0, 1.618, 17

---

Diffraction record for Na3CoO3. The powder diffractogram is calculated, not measured: it uses a DFT-relaxed cell (GGA+U, the Materials Project) and Cu Kα.

Structural model:
```
data_Na3CoO3
_cell_length_a 6.896
_cell_length_b 9.630
_cell_length_c 6.444
_cell_angle_alpha 90.00
_cell_angle_beta 116.16
_cell_angle_gamma 90.00
_space_group_name_H-M_alt 'P 1'
_space_group_IT_number 1
loop_
_space_group_symop_operation_xyz
'x,y,z'
loop_
_atom_site_label
_atom_site_fract_x
_atom_site_fract_y
_atom_site_fract_z
Na1 0.009 0.210 0.036
Na2 0.009 0.290 0.536
Na3 0.238 0.558 0.251
Na4 0.238 0.942 0.751
Na5 0.464 0.219 0.791
Na6 0.464 0.281 0.291
Na7 0.536 0.719 0.709
Na8 0.536 0.781 0.209
Na9 0.762 0.058 0.249
Na10 0.762 0.442 0.749
Na11 0.991 0.710 0.464
Na12 0.991 0.790 0.964
Co1 0.270 0.513 0.818
Co2 0.270 0.987 0.318
Co3 0.730 0.013 0.682
Co4 0.730 0.487 0.182
O1 0.173 0.110 0.454
O2 0.173 0.390 0.954
O3 0.261 0.696 0.861
O4 0.261 0.804 0.361
O5 0.335 0.054 0.100
O6 0.335 0.446 0.600
O7 0.665 0.554 0.400
O8 0.665 0.946 0.900
O9 0.739 0.196 0.639
O10 0.739 0.304 0.139
O11 0.827 0.610 0.046
O12 0.827 0.890 0.546
```

Main lines, in order of falling intensity (2θ = 15–90°):
(hkl), d (Å), Rel. int.
2 2 0, 2.603, 100
1 1 -1, 4.871, 75
1 3 -2, 2.272, 46
1 1 1, 3.308, 42
2 0 0, 3.095, 33
1 0 2, 2.265, 30

---

Q: What is the formula in the first record?
A: Li9Mn7O16

---

Q: Which formula does entry 1 have?
A: Li9Mn7O16